No. 1
Computed X-ray powder pattern
Compound: Sc4Hg5
Radiation: λ = 1.5418 Å (Cu Kα)
Structure: a crystal structure in Alexandria, relaxed with PBE

```
Sc4Hg5
1.0
8.684 0.000 0.000
-4.342 7.521 0.000
0.000 0.000 6.126
Sc Hg
8 10
direct
0.000 0.000 0.000
0.000 0.000 0.500
0.000 0.362 0.250
0.000 0.638 0.750
0.362 0.000 0.250
0.362 0.362 0.750
0.638 0.000 0.750
0.638 0.638 0.250
0.000 0.302 0.750
0.000 0.698 0.250
0.302 0.000 0.750
0.302 0.302 0.250
0.333 0.667 0.000
0.333 0.667 0.500
0.667 0.333 0.000
0.667 0.333 0.500
0.698 0.000 0.250
0.698 0.698 0.750
```

Peak list (10 most intense, 10° ≤ 2θ ≤ 90°, low angle first)
d_spacing, I (rel.)
3.760, 6.6
3.543, 29.2
2.840, 10.2
2.579, 8.0
2.505, 100.0
1.771, 16.8
1.725, 6.8
1.447, 21.4
1.307, 12.6
1.121, 6.4

---

No. 2
Computed X-ray powder pattern
Compound: Sc3Hg
Radiation: λ = 1.5418 Å (Cu Kα)
Structure: a crystal structure in Alexandria, relaxed with PBE

```
Sc3Hg
1.0
3.928 -4.853 0.000
3.928 4.853 0.000
0.000 0.000 4.827
Sc Hg
6 2
direct
0.105 0.895 0.750
0.179 0.402 0.750
0.402 0.179 0.250
0.598 0.821 0.750
0.821 0.598 0.250
0.895 0.105 0.250
0.315 0.685 0.250
0.685 0.315 0.750
```

Peak list (10 most intense, 10° ≤ 2θ ≤ 90°, low angle first)
d_spacing, I (rel.)
6.106, 19.9
3.928, 27.8
3.787, 73.0
3.053, 21.3
2.992, 34.4
2.580, 100.0
2.543, 22.0
2.414, 32.5
2.240, 40.0
1.878, 20.4

---

Which formula does entry 2 have? Sc3Hg